Computed powder XRD pattern
Compound: Cs2KCoO2
Radiation: Cu Kα, 1.54184 Å
Structure: a cell relaxed with PBE+U

Largest 8 diffraction maxima, sorted by position, 2θ from 10° to 90°:
2θ (°)	intensity
15.36	19
25.64	17
28.99	100
29.51	25
31.01	20
33.89	16
48.71	17
53.93	20

```
data_Cs2KCoO2
_cell_length_a 6.273
_cell_length_b 11.536
_cell_length_c 4.476
_cell_angle_alpha 90.00
_cell_angle_beta 90.00
_cell_angle_gamma 90.00
_space_group_name_H-M_alt 'P n n m'
_space_group_IT_number 58
loop_
_space_group_symop_operation_xyz
'x,y,z'
'-x,-y,-z'
'-x,-y,z'
'x,y,-z'
'x+1/2,-y+1/2,-z+1/2'
'-x+1/2,y+1/2,z+1/2'
'-x+1/2,y+1/2,-z+1/2'
'x+1/2,-y+1/2,z+1/2'
loop_
_atom_site_label
_atom_site_type_symbol
_atom_site_fract_x
_atom_site_fract_y
_atom_site_fract_z
Cs1 Cs 0.087 0.232 0.000
K1 K 0.000 0.500 0.500
Co1 Co 0.000 0.000 0.500
O1 O 0.231 0.091 0.500
```